Entry 1:
Diffraction record for Y6AgGe2S14. The XRD peak list is calculated, not measured: it uses a cell relaxed with PBE and CuKα.
Peak positions follow from Bragg's law for the DFT cell and can differ from measured ones.

Largest 12 diffraction maxima, by intensity, 2θ from 10° to 90°:
- 25.88°, d = 3.443 Å, rel. 100
- 36.38°, d = 2.470 Å, rel. 77
- 37.46°, d = 2.401 Å, rel. 67
- 37.92°, d = 2.373 Å, rel. 35
- 35.90°, d = 2.502 Å, rel. 33
- 18.48°, d = 4.802 Å, rel. 29
- 23.66°, d = 3.761 Å, rel. 29
- 31.68°, d = 2.825 Å, rel. 29
- 35.06°, d = 2.559 Å, rel. 28
- 41.10°, d = 2.196 Å, rel. 26
- 51.42°, d = 1.777 Å, rel. 21
- 41.83°, d = 2.159 Å, rel. 20

Structure:
```
23
Lattice="9.879 0.000 0.000 -4.939 8.555 0.000 0.000 0.000 5.802" Properties=species:S:1:pos:R:3 pbc="T T T"
Y -2.080 4.014 0.000
Y 2.076 1.701 2.901
Y -0.423 8.349 0.000
Y 2.503 4.747 0.000
Y 7.367 0.947 2.901
Y 5.375 5.906 2.901
Ag 4.939 2.852 1.637
Ge 0.000 0.000 5.361
Ge 0.000 5.704 2.426
S 0.000 0.000 1.761
S -0.292 2.020 4.413
S -3.045 7.798 4.413
S -1.887 6.471 1.483
S 0.279 3.685 1.483
S 0.000 5.704 4.627
S 2.857 1.970 0.242
S 4.636 0.611 3.114
S 3.150 4.235 3.114
S 1.608 6.954 1.483
S 3.336 7.293 4.413
S 6.745 1.489 0.242
S 5.217 5.096 0.242
S 7.032 3.710 3.114
```



Entry 2:
Diffraction record for ScAgGe. The XRD peak list is calculated, not measured: it uses a cell relaxed with PBE and CuKα.
Peak positions follow from Bragg's law for the DFT cell and can differ from measured ones.

Largest 12 diffraction maxima, by intensity, 2θ from 10° to 90°:
- 33.92°, d = 2.643 Å, rel. 100
- 37.15°, d = 2.420 Å, rel. 99
- 45.67°, d = 1.986 Å, rel. 73
- 39.59°, d = 2.276 Å, rel. 62
- 21.86°, d = 4.066 Å, rel. 39
- 44.57°, d = 2.033 Å, rel. 38
- 45.16°, d = 2.008 Å, rel. 35
- 72.21°, d = 1.308 Å, rel. 35
- 61.12°, d = 1.516 Å, rel. 32
- 25.62°, d = 3.477 Å, rel. 25
- 65.32°, d = 1.428 Å, rel. 22
- 14.71°, d = 6.023 Å, rel. 21

Structure:
```
9
Lattice="6.955 0.000 0.000 -3.477 6.023 0.000 0.000 0.000 4.066" Properties=species:S:1:pos:R:3 pbc="T T T"
Sc -2.025 3.507 0.000
Sc 1.452 2.516 0.000
Sc 4.050 0.000 0.000
Ag -0.880 1.525 2.033
Ag 1.761 0.000 2.033
Ag 2.597 4.498 2.033
Ge 0.000 0.000 0.000
Ge 0.000 4.015 2.033
Ge 3.477 2.008 2.033
```



Entry 3:
Diffraction record for SmAg2Ge2. The XRD peak list is calculated, not measured: it uses a cell relaxed with PBE and CuKα.
Peak positions follow from Bragg's law for the DFT cell and can differ from measured ones.

Largest 12 diffraction maxima, by intensity, 2θ from 10° to 90°:
- 33.63°, d = 2.665 Å, rel. 100
- 42.10°, d = 2.146 Å, rel. 45
- 31.87°, d = 2.808 Å, rel. 35
- 45.91°, d = 1.977 Å, rel. 22
- 71.55°, d = 1.319 Å, rel. 21
- 64.04°, d = 1.454 Å, rel. 16
- 53.76°, d = 1.705 Å, rel. 16
- 61.06°, d = 1.518 Å, rel. 15
- 44.14°, d = 2.052 Å, rel. 13
- 82.62°, d = 1.168 Å, rel. 10
- 58.27°, d = 1.583 Å, rel. 10
- 32.15°, d = 2.784 Å, rel. 10

Structure:
```
10
Lattice="4.292 0.000 0.000 0.000 4.292 0.000 0.000 0.000 11.136" Properties=species:S:1:pos:R:3 pbc="T T T"
Sm 0.000 0.000 0.000
Sm 2.146 2.146 5.568
Ag 0.000 2.146 2.784
Ag 0.000 2.146 8.352
Ag 2.146 0.000 2.784
Ag 2.146 0.000 8.352
Ge 0.000 0.000 4.348
Ge 0.000 0.000 6.788
Ge 2.146 2.146 1.220
Ge 2.146 2.146 9.915
```



Entry 4:
Diffraction record for SrAg2Ge2. The XRD peak list is calculated, not measured: it uses a cell relaxed with PBE and CuKα.
Peak positions follow from Bragg's law for the DFT cell and can differ from measured ones.

Largest 12 diffraction maxima, by intensity, 2θ from 10° to 90°:
- 32.53°, d = 2.753 Å, rel. 100
- 40.02°, d = 2.253 Å, rel. 54
- 43.63°, d = 2.074 Å, rel. 31
- 31.58°, d = 2.833 Å, rel. 28
- 67.98°, d = 1.379 Å, rel. 22
- 57.88°, d = 1.593 Å, rel. 18
- 46.15°, d = 1.967 Å, rel. 17
- 16.22°, d = 5.466 Å, rel. 16
- 51.84°, d = 1.764 Å, rel. 14
- 62.70°, d = 1.482 Å, rel. 13
- 75.20°, d = 1.264 Å, rel. 11
- 82.57°, d = 1.168 Å, rel. 11

Structure:
```
10
Lattice="4.506 0.000 0.000 0.000 4.506 0.000 0.000 0.000 10.932" Properties=species:S:1:pos:R:3 pbc="T T T"
Sr 0.000 0.000 0.000
Sr 2.253 2.253 5.466
Ag 0.000 2.253 2.733
Ag 0.000 2.253 8.199
Ag 2.253 0.000 2.733
Ag 2.253 0.000 8.199
Ge 0.000 0.000 4.222
Ge 0.000 0.000 6.710
Ge 2.253 2.253 1.244
Ge 2.253 2.253 9.688
```



Entry 5:
Diffraction record for TmAgGe. The XRD peak list is calculated, not measured: it uses a cell relaxed with PBE and CuKα.
Peak positions follow from Bragg's law for the DFT cell and can differ from measured ones.

Largest 12 diffraction maxima, by intensity, 2θ from 10° to 90°:
- 33.04°, d = 2.711 Å, rel. 100
- 36.19°, d = 2.482 Å, rel. 89
- 38.59°, d = 2.333 Å, rel. 48
- 43.34°, d = 2.088 Å, rel. 28
- 59.40°, d = 1.556 Å, rel. 26
- 58.24°, d = 1.584 Å, rel. 24
- 70.18°, d = 1.341 Å, rel. 22
- 44.01°, d = 2.058 Å, rel. 18
- 53.52°, d = 1.712 Å, rel. 14
- 71.23°, d = 1.324 Å, rel. 12
- 63.47°, d = 1.466 Å, rel. 12
- 28.93°, d = 3.086 Å, rel. 11

Structure:
```
9
Lattice="7.128 0.000 0.000 -3.564 6.173 0.000 0.000 0.000 4.176" Properties=species:S:1:pos:R:3 pbc="T T T"
Tm -2.077 3.598 0.000
Tm 1.487 2.575 0.000
Tm 4.154 0.000 0.000
Ag -0.896 1.553 2.088
Ag 1.793 0.000 2.088
Ag 2.667 4.620 2.088
Ge 0.000 0.000 0.000
Ge 0.000 4.115 2.088
Ge 3.564 2.058 2.088
```



Entry 6:
Diffraction record for Y3Ag4Ge4. The XRD peak list is calculated, not measured: it uses a cell relaxed with PBE and CuKα.
Peak positions follow from Bragg's law for the DFT cell and can differ from measured ones.

Largest 12 diffraction maxima, by intensity, 2θ from 10° to 90°:
- 32.96°, d = 2.718 Å, rel. 100
- 34.55°, d = 2.596 Å, rel. 82
- 41.54°, d = 2.174 Å, rel. 51
- 37.21°, d = 2.416 Å, rel. 40
- 42.16°, d = 2.143 Å, rel. 40
- 37.45°, d = 2.401 Å, rel. 38
- 45.27°, d = 2.003 Å, rel. 35
- 60.67°, d = 1.526 Å, rel. 26
- 33.31°, d = 2.690 Å, rel. 24
- 45.04°, d = 2.013 Å, rel. 23
- 56.95°, d = 1.617 Å, rel. 20
- 12.20°, d = 7.253 Å, rel. 18

Structure:
```
11
Lattice="-2.174 3.586 7.253 2.174 -3.586 7.253 2.174 3.586 -7.253" Properties=species:S:1:pos:R:3 pbc="T T T"
Y 0.000 0.000 0.000
Y 2.174 0.000 5.424
Y 0.000 3.586 1.829
Ag 2.174 1.411 -2.453
Ag 2.174 1.411 2.453
Ag 0.000 2.175 4.801
Ag 0.000 2.175 9.706
Ge 0.000 0.000 3.146
Ge 2.174 2.283 0.000
Ge 0.000 1.303 7.253
Ge 0.000 0.000 11.361
```